# Na6CoS4O16
Theoretical powder diffractogram, Cu Kα (λ = 1.5418 Å). Input: a cell relaxed with PBE+U.

Main lines, sorted by position (2θ = 10–90°):
15.4 deg, d 5.754, I = 48.1
22.6 deg, d 3.935, I = 68.6
26.6 deg, d 3.353, I = 68.0
29.2 deg, d 3.056, I = 98.9
30.8 deg, d 2.905, I = 69.4
31.1 deg, d 2.877, I = 100.0
31.9 deg, d 2.807, I = 43.5
35.2 deg, d 2.546, I = 54.2
37.0 deg, d 2.429, I = 36.3
51.0 deg, d 1.790, I = 41.2

Crystal structure
```
data_Na6CoS4O16
_chemical_formula_sum 'Na12 Co2 S8 O32'
_space_group_name_H-M_alt 'P 1 21/c 1'
_space_group_IT_number 14
_cell_length_a 9.4768
_cell_length_b 9.1423
_cell_length_c 8.0493
_cell_angle_alpha 90.00
_cell_angle_beta 113.08
_cell_angle_gamma 90.00
loop_
_space_group_symop_operation_xyz
'x,y,z'
'-x,-y,-z'
'-x,y+1/2,-z+1/2'
'x,-y+1/2,z+1/2'
loop_
_atom_site_label
_atom_site_type_symbol
_atom_site_fract_x
_atom_site_fract_y
_atom_site_fract_z
Na1 Na 0.0685 0.1532 0.4135
Na2 Na 0.1874 0.0124 0.0397
Na3 Na 0.3813 0.6313 0.3118
Co1 Co 0.5000 0.0000 0.5000
S1 S 0.1573 0.6518 0.8459
S2 S 0.3546 0.1978 0.7838
O1 O 0.0292 0.6042 0.6781
O2 O 0.1436 0.5874 0.0063
O3 O 0.1618 0.6866 0.3585
O4 O 0.2013 0.2331 0.2020
O5 O 0.3024 0.6008 0.8264
O6 O 0.3668 0.1051 0.9399
O7 O 0.3838 0.1063 0.6485
O8 O 0.4760 0.1855 0.3465
```